Diffraction record for Pr3Sm3Dy. The powder X-ray diffraction pattern is simulated, not measured: it uses a DFT-relaxed cell (GGA-PBE, Alexandria) and copper Kα.
Lines closer than 0.1° are merged.

Crystal structure
```
data_Pr3Sm3Dy
_chemical_formula_sum 'Pr18 Sm18 Dy6'
_cell_length_a 8.8068
_cell_length_b 8.8068
_cell_length_c 22.2498
_cell_angle_alpha 90.00
_cell_angle_beta 90.00
_cell_angle_gamma 120.00
_space_group_name_H-M_alt 'R -3'
_space_group_IT_number 148
_space_group_name_Hall '-R 3'
loop_
_atom_site_label
_atom_site_fract_x
_atom_site_fract_y
_atom_site_fract_z
_atom_site_occupancy
Pr1 0.0038 0.7621 0.0586 1
Sm1 0.0516 0.6027 0.8806 1
Dy1 0.0000 0.0000 0.3464 1
```

Most intense lines, 10 to 80 degrees two-theta, in order of rising 2θ:
- 2θ = 23.5°, intensity 31
- 2θ = 28.4°, intensity 40
- 2θ = 30.5°, intensity 36
- 2θ = 31.3°, intensity 100
- 2θ = 31.5°, intensity 99
- 2θ = 32.1°, intensity 52
- 2θ = 37.2°, intensity 21
- 2θ = 51.9°, intensity 25